Diffraction record for P2H4RhO9. The powder diffraction line list is calculated, not measured: it uses a DFT-relaxed cell (GGA-PBE, the Materials Project) and CuKα.

Most intense lines, 10 to 90 degrees two-theta, by intensity:
(1 1 0), 2θ 13.8, I = 1000
(0 0 1), 2θ 12.1, I = 662
(1 3 -1), 2θ 25.8, I = 622
(0 2 0), 2θ 13.1, I = 484
(0 2 1), 2θ 17.9, I = 432
(1 3 -2), 2θ 33.2, I = 310

Cell and atoms:
Cell: 7.330 13.469 7.311 Å, 90.00 94.63 90.00°
Space group C2 (No. 5)
Symmetry-distinct sites (fractional):
P 0.132 0.000 0.261 (multiplicity 4)
P 0.132 0.311 0.264 (multiplicity 4)
H 0.028 0.625 0.750 (multiplicity 4)
H 0.035 0.738 0.243 (multiplicity 4)
H 0.175 0.276 0.967 (multiplicity 4)
H 0.182 0.048 0.976 (multiplicity 4)
Rh 0.152 0.154 0.591 (multiplicity 4)
O 0.062 0.055 0.763 (multiplicity 4)
O 0.062 0.257 0.758 (multiplicity 4)
O 0.078 0.669 0.241 (multiplicity 4)
O 0.114 0.891 0.269 (multiplicity 4)
O 0.116 0.420 0.289 (multiplicity 4)
O 0.238 0.050 0.434 (multiplicity 4)
O 0.238 0.280 0.094 (multiplicity 4)
O 0.242 0.255 0.428 (multiplicity 4)
O 0.245 0.042 0.101 (multiplicity 4)